Record 1
For LiBiP4O12, a PBE-relaxed structure gives the calculated X-ray diffraction stick pattern in this record (a wavelength of 1.5418 Å).
Peak positions follow from Bragg's law for the DFT cell and can differ from measured ones.

Largest 6 diffraction maxima, in order of rising 2θ, 5° ≤ 2θ ≤ 70°:
2θ = 13.21°, I = 72; 2θ = 15.29°, I = 80; 2θ = 20.20°, I = 40; 2θ = 20.31°, I = 100; 2θ = 22.30°, I = 65; 2θ = 27.32°, I = 50

Cell and atoms:
Cell: 16.5655 7.1675 9.8525 Å, 90.00 125.97 90.00°
Space group C2/c (No. 15)
Symmetry-distinct sites (fractional):
Li (0.0000, 0.2006, 0.2500) x4
Bi (0.0000, 0.3057, 0.7500) x4
P (0.1392, 0.0547, 0.6169) x8
P (0.1462, 0.3479, 0.1936) x8
O (0.0677, 0.0130, 0.4323) x8
O (0.0706, 0.4082, 0.2238) x8
O (0.1186, 0.2156, 0.6899) x8
O (0.1290, 0.3907, 0.0292) x8
O (0.1565, 0.1258, 0.2281) x8
O (0.2471, 0.0796, 0.6518) x8

Record 2
For Li3BiP2O8, a PBE-relaxed structure gives the calculated X-ray diffraction stick pattern in this record (a wavelength of 1.5418 Å).
Peak positions follow from Bragg's law for the DFT cell and can differ from measured ones.

Largest 6 diffraction maxima, in order of rising 2θ, 5° ≤ 2θ ≤ 70°:
2θ = 11.07°, I = 100; 2θ = 20.83°, I = 39; 2θ = 23.46°, I = 50; 2θ = 23.62°, I = 56; 2θ = 23.68°, I = 45; 2θ = 30.74°, I = 26

Cell and atoms:
Cell: 7.9976 8.5201 8.5433 Å, 60.46 89.62 88.88°
Space group P1 (No. 1)
Symmetry-distinct sites (fractional):
Li (0.0000, 0.0000, 0.0000) x1
Li (0.0006, 0.6456, 0.6357) x1
Li (0.0189, 0.3485, 0.3004) x1
Li (0.1302, 0.9883, 0.6506) x1
Li (0.1472, 0.6707, 0.3120) x1
Li (0.2551, 0.0152, 0.3159) x1
Li (0.2626, 0.3086, 0.6584) x1
Li (0.2641, 0.6691, 0.9572) x1
Li (0.2791, 0.3343, 0.9725) x1
Bi (0.5676, 0.9947, 0.6481) x1
Bi (0.6844, 0.6642, 0.3069) x1
Bi (0.6930, 0.3612, 0.9750) x1
P (0.3697, 0.9821, 0.0095) x1
P (0.3747, 0.6487, 0.6267) x1
P (0.3837, 0.3652, 0.2879) x1
P (0.8791, 0.0182, 0.3301) x1
P (0.8856, 0.2919, 0.6622) x1
P (0.8941, 0.6779, 0.9416) x1
O (0.0351, 0.0782, 0.3927) x1
O (0.0444, 0.1692, 0.7286) x1
O (0.0450, 0.7398, 0.8133) x1
O (0.2168, 0.9238, 0.1395) x1
O (0.2210, 0.5815, 0.5667) x1
O (0.2320, 0.4995, 0.2319) x1
O (0.3537, 0.9017, 0.8800) x1
O (0.3589, 0.8581, 0.5483) x1
O (0.3678, 0.2444, 0.2019) x1
O (0.3741, 0.1890, 0.8912) x1
O (0.3810, 0.5578, 0.8346) x1
O (0.3824, 0.2417, 0.4985) x1
O (0.5343, 0.9149, 0.1205) x1
O (0.5390, 0.5976, 0.5631) x1
O (0.5506, 0.4702, 0.2229) x1
O (0.7161, 0.0747, 0.3889) x1
O (0.7260, 0.1790, 0.7178) x1
O (0.7280, 0.7048, 0.8358) x1
O (0.8713, 0.1146, 0.1186) x1
O (0.8769, 0.4143, 0.7547) x1
O (0.8924, 0.8106, 0.4011) x1
O (0.8929, 0.7680, 0.0606) x1
O (0.8998, 0.4233, 0.4562) x1
O (0.9037, 0.4658, 0.0682) x1

Record 3
For Li2BiP5O15, a PBE-relaxed structure gives the calculated X-ray diffraction stick pattern in this record (a wavelength of 1.5418 Å).
Peak positions follow from Bragg's law for the DFT cell and can differ from measured ones.

Largest 6 diffraction maxima, in order of rising 2θ, 5° ≤ 2θ ≤ 70°:
2θ = 13.41°, I = 48; 2θ = 14.99°, I = 100; 2θ = 15.15°, I = 44; 2θ = 24.87°, I = 56; 2θ = 25.26°, I = 49; 2θ = 27.80°, I = 66

Cell and atoms:
Cell: 7.9729 11.7926 12.8937 Å, 90.00 90.90 90.00°
Space group Cc (No. 9)
Symmetry-distinct sites (fractional):
Li (0.0000, 0.0282, 0.0000) x4
Li (0.1564, 0.2517, 0.1421) x4
Bi (0.2602, 0.1341, 0.6568) x4
P (0.0518, 0.3921, 0.7459) x4
P (0.0814, 0.1829, 0.3875) x4
P (0.0933, 0.4501, 0.9708) x4
P (0.3217, 0.1420, 0.9375) x4
P (0.4096, 0.4268, 0.7109) x4
O (0.0039, 0.0192, 0.6557) x4
O (0.0374, 0.3779, 0.0610) x4
O (0.0596, 0.2804, 0.6894) x4
O (0.0722, 0.3692, 0.8685) x4
O (0.1656, 0.2565, 0.3106) x4
O (0.1712, 0.1173, 0.4725) x4
O (0.2026, 0.1381, 0.0263) x4
O (0.2203, 0.4670, 0.7226) x4
O (0.2403, 0.1399, 0.8314) x4
O (0.2609, 0.4955, 0.4769) x4
O (0.4042, 0.0336, 0.2221) x4
O (0.4172, 0.3107, 0.6600) x4
O (0.4333, 0.2543, 0.9504) x4
O (0.4549, 0.0439, 0.9461) x4
O (0.4773, 0.4186, 0.8279) x4